(1)
Theoretical powder X-ray diffraction pattern of Ho2Ga9Ru3 for Cu Ka, from the PBE geometry in the Materials Project.

Structure:
```
Ho2Ga9Ru3
1.0
6.4694 -3.7702 0.0000
6.4694 3.7702 0.0000
0.0000 0.0000 9.7273
Ho Ga Ru
4 18 6
Cartesian
4.3495 2.5120 7.2955
8.5893 2.5120 7.2955
4.3495 -2.5120 2.4318
8.5893 -2.5120 2.4318
4.3333 2.4871 0.7406
4.3333 2.4871 4.1231
6.4694 2.8240 2.4318
8.6055 2.4871 0.7406
8.6055 2.4871 4.1231
5.1027 0.4351 2.4318
6.4694 1.2300 5.4485
6.4694 1.2300 9.1424
5.1027 -0.4351 7.2955
7.8361 0.4351 2.4318
6.4694 -1.2300 0.5849
6.4694 -1.2300 4.2788
7.8361 -0.4351 7.2955
4.3333 -2.4871 5.6042
4.3333 -2.4871 8.9867
6.4694 -2.8240 7.2955
8.6055 -2.4871 5.6042
8.6055 -2.4871 8.9867
0.0000 0.0000 0.0000
0.0000 0.0000 4.8636
4.2179 0.0000 0.0000
4.2179 0.0000 4.8636
8.7209 0.0000 0.0000
8.7209 0.0000 4.8636
```

Peak list (10 most intense, 2θ = 10–80°, in order of rising 2θ)
2θ 30.1, rel. 177
2θ 36.6, rel. 467
2θ 36.7, rel. 1000
2θ 37.0, rel. 294
2θ 37.8, rel. 176
2θ 41.6, rel. 792
2θ 41.9, rel. 383
2θ 56.8, rel. 355
2θ 72.5, rel. 194
2θ 72.7, rel. 188

---

(2)
Theoretical powder X-ray diffraction pattern of Ho4GaSbS9 for Cu Ka, from the PBE geometry in the Materials Project.

Structure:
```
Ho4GaSbS9
1.0
13.5069 0.0000 0.0000
0.0000 6.9195 7.0333
0.0000 -6.9195 7.0333
Ho Ga Sb S
16 4 4 36
Cartesian
1.3590 -4.5543 7.0333
1.4012 1.5305 6.3160
2.4775 2.2933 10.0934
2.5330 5.4014 6.9030
4.2205 -1.5180 6.9030
4.2760 2.2933 3.0601
5.3522 -5.3890 6.3160
5.3944 2.3651 7.0333
8.1125 -2.3651 7.0333
8.1547 5.3890 6.3160
9.2309 -2.2933 3.0601
9.2864 1.5180 6.9030
10.9740 -5.4014 6.9030
11.0295 -2.2933 10.0934
12.1057 -1.5305 6.3160
12.1479 4.5543 7.0333
1.2334 -1.4603 10.2296
5.5200 -1.4603 3.1963
7.9869 1.4603 3.1963
12.2735 1.4603 10.2296
1.5287 -1.1228 3.6502
5.2247 -1.1228 10.6835
8.2822 1.1228 10.6835
11.9782 1.1228 3.6502
0.0000 0.0000 0.1213
0.0000 0.0000 8.9119
0.1622 -4.2098 4.5158
0.9253 3.5103 8.0718
1.1066 1.3194 3.5440
1.3369 -1.2371 6.1188
2.5743 -2.7696 8.8707
2.6615 -0.1568 11.4835
3.3124 3.2304 5.4163
3.3533 0.7977 0.9801
3.4002 0.7977 8.0134
3.4411 -3.6891 5.4163
4.0919 -0.1568 4.4502
4.1792 4.1499 8.8707
5.4165 5.6824 6.1188
5.6469 1.3194 10.5773
5.8282 -3.4092 8.0718
6.5913 2.7097 4.5158
6.7535 0.0000 1.8786
6.7535 0.0000 7.1546
6.9156 -2.7097 4.5158
7.6787 3.4092 8.0718
7.8600 -1.3194 10.5773
8.0904 -5.6824 6.1188
9.3277 -4.1499 8.8707
9.4150 0.1568 4.4502
10.0658 3.6891 5.4163
10.1067 -0.7977 8.0134
10.1536 -0.7977 0.9801
10.1945 -3.2304 5.4163
10.8454 0.1568 11.4835
10.9326 2.7696 8.8707
12.1700 1.2371 6.1188
12.4003 -1.3194 3.5440
12.5817 -3.5103 8.0718
13.3447 4.2098 4.5158
```

Peak list (10 most intense, 2θ = 10–80°, in order of rising 2θ)
2θ 25.3, rel. 601
2θ 25.8, rel. 302
2θ 26.8, rel. 1000
2θ 27.9, rel. 308
2θ 30.2, rel. 237
2θ 33.7, rel. 467
2θ 34.4, rel. 269
2θ 36.4, rel. 421
2θ 45.5, rel. 239
2θ 50.8, rel. 493

---

(3)
Theoretical powder X-ray diffraction pattern of HoTi2Ga4 for Cu Ka, from the PBE geometry in the Materials Project.

Structure:
```
HoTi2Ga4
1.0
-3.3827 3.3827 2.7280
3.3827 -3.3827 2.7280
3.3827 3.3827 -2.7280
Ho Ti Ga
1 2 4
Cartesian
0.0000 0.0000 0.0000
3.3827 0.0000 1.3640
0.0000 3.3827 1.3640
2.0455 2.0455 0.0000
1.3372 -1.3372 2.7280
-1.3372 1.3372 2.7280
1.3372 1.3372 2.7280
```

Peak list (10 most intense, 2θ = 10–80°, in order of rising 2θ)
2θ 32.8, rel. 314
2θ 33.9, rel. 1000
2θ 37.6, rel. 647
2θ 38.0, rel. 535
2θ 43.4, rel. 737
2θ 50.8, rel. 183
2θ 59.3, rel. 199
2θ 66.0, rel. 207
2θ 68.1, rel. 234
2θ 78.1, rel. 238

---

(4)
Theoretical powder X-ray diffraction pattern of Ho2ZnGa for Cu Ka, from the PBE geometry in the Materials Project.

Structure:
```
Ho2ZnGa
1.0
0.0000 3.5466 3.5466
3.5466 0.0000 3.5466
3.5466 3.5466 0.0000
Ho Zn Ga
2 1 1
Cartesian
1.7733 1.7733 1.7733
5.3199 5.3199 5.3199
0.0000 0.0000 0.0000
3.5466 3.5466 3.5466
```

Peak list (7 most intense, 2θ = 10–80°, in order of rising 2θ)
2θ 25.1, rel. 181
2θ 35.8, rel. 1000
2θ 44.2, rel. 55
2θ 51.5, rel. 176
2θ 58.2, rel. 76
2θ 64.3, rel. 357
2θ 75.9, rel. 110